Record 1
Theoretical powder diffraction line list of PrSiH2O4 for Cu Kα (weighted mean of Kα1 and Kα2), from a DFT-relaxed cell (GGA-PBE, OQMD).
Kinematic intensities with the Lorentz-polarization factor, no thermal factor.

Atomic structure:
Cell lengths 6.3105, 5.9335, 7.3264 Å; angles 55.65, 50.92, 73.43 degrees
Atoms (fractional coordinates):
Pr  0.0000  0.0000  0.0000
Pr  0.2500  0.2500  0.2500
Si  0.5168  0.5168  0.4832
Si  0.7668  0.7668  0.7332
H  0.1437  0.6162  0.7928
H  0.4572  0.8027  0.1063
H  0.6162  0.1437  0.4473
H  0.8027  0.4572  0.6338
O  0.2630  0.4493  0.8052
O  0.4448  0.7676  0.9870
O  0.4493  0.2630  0.4824
O  0.5021  0.8246  0.2701
O  0.7676  0.4448  0.8007
O  0.8246  0.5021  0.4032
O  0.8468  0.9799  0.4254
O  0.9799  0.8468  0.7479

Main lines, in order of rising 2θ (2θ from 10° to 90°):
2θ/deg	I/Imax
18.2	56
24.4	100
29.7	18
31.5	20
32.0	44
32.8	41
33.2	20
39.5	25
47.4	37
49.2	32

***

Record 2
Theoretical powder diffraction line list of Er3Fe7Co2 for Cu Kα (weighted mean of Kα1 and Kα2), from a DFT-relaxed cell (GGA-PBE, OQMD).
Kinematic intensities with the Lorentz-polarization factor, no thermal factor.

Atomic structure:
Cell lengths 8.5916, 8.5916, 8.5916 Å; angles 33.88, 33.88, 33.88 degrees
Atoms (fractional coordinates):
Er  0.0000  0.0000  0.0000
Er  0.1420  0.1420  0.1420
Er  0.8580  0.8580  0.8580
Fe  0.0823  0.5817  0.5817
Fe  0.4183  0.4183  0.9177
Fe  0.4183  0.9177  0.4183
Fe  0.5000  0.5000  0.5000
Fe  0.5817  0.0823  0.5817
Fe  0.5817  0.5817  0.0823
Fe  0.9177  0.4183  0.4183
Co  0.3326  0.3326  0.3326
Co  0.6674  0.6674  0.6674

Main lines, in order of rising 2θ (2θ from 10° to 90°):
2θ/deg	I/Imax
20.8	15
33.1	53
35.9	58
36.1	35
41.8	37
42.5	100
62.7	17
64.6	13
69.0	22
76.0	20

***

Record 3
Theoretical powder diffraction line list of Cs2Re2S5 for Cu Kα (weighted mean of Kα1 and Kα2), from a DFT-relaxed cell (GGA-PBE, OQMD).
Kinematic intensities with the Lorentz-polarization factor, no thermal factor.

Atomic structure:
Cell lengths 12.5196, 12.5196, 12.5196 Å; angles 67.70, 67.70, 67.70 degrees
Atoms (fractional coordinates):
Cs  0.0275  0.7993  0.6364
Cs  0.1364  0.2993  0.5275
Cs  0.2007  0.3636  0.9725
Cs  0.2993  0.5275  0.1364
Cs  0.3636  0.9725  0.2007
Cs  0.4725  0.8636  0.7007
Cs  0.5275  0.1364  0.2993
Cs  0.6364  0.0275  0.7993
Cs  0.7007  0.4725  0.8636
Cs  0.7993  0.6364  0.0275
Cs  0.8636  0.7007  0.4725
Cs  0.9725  0.2007  0.3636
Re  0.0517  0.9220  0.1382
Re  0.0780  0.8618  0.9483
Re  0.1382  0.0517  0.9220
Re  0.3618  0.5780  0.4483
Re  0.4220  0.5517  0.6382
Re  0.4483  0.3618  0.5780
Re  0.5517  0.6382  0.4220
Re  0.5780  0.4483  0.3618
Re  0.6382  0.4220  0.5517
Re  0.8618  0.9483  0.0780
Re  0.9220  0.1382  0.0517
Re  0.9483  0.0780  0.8618
S  0.0076  0.2470  0.8476
S  0.1027  0.1027  0.1027
S  0.1199  0.8442  0.3214
S  0.1524  0.9924  0.7530
S  0.1558  0.6786  0.8801
S  0.1786  0.6558  0.3801
S  0.2470  0.8476  0.0076
S  0.2500  0.2500  0.2500
S  0.2530  0.4924  0.6524
S  0.3214  0.1199  0.8442
S  0.3442  0.6199  0.8214
S  0.3476  0.7470  0.5076
S  0.3801  0.1786  0.6558
S  0.3973  0.3973  0.3973
S  0.4924  0.6524  0.2530
S  0.5076  0.3476  0.7470
S  0.6027  0.6027  0.6027
S  0.6199  0.8214  0.3442
S  0.6524  0.2530  0.4924
S  0.6558  0.3801  0.1786
S  0.6786  0.8801  0.1558
S  0.7470  0.5076  0.3476
S  0.7500  0.7500  0.7500
S  0.7530  0.1524  0.9924
S  0.8214  0.3442  0.6199
S  0.8442  0.3214  0.1199
S  0.8476  0.0076  0.2470
S  0.8801  0.1558  0.6786
S  0.8973  0.8973  0.8973
S  0.9924  0.7530  0.1524

Main lines, in order of rising 2θ (2θ from 10° to 90°):
2θ/deg	I/Imax
12.7	100
14.3	40
19.7	22
20.4	22
24.9	24
29.2	20
36.0	27
44.8	27
45.5	30
51.1	35

***

Record 4
Theoretical powder diffraction line list of TlSn3Pd2 for Cu Kα (weighted mean of Kα1 and Kα2), from a DFT-relaxed cell (GGA-PBE, OQMD).
Kinematic intensities with the Lorentz-polarization factor, no thermal factor.

Atomic structure:
Cell lengths 6.7243, 5.5022, 5.6295 Å; angles 74.31, 51.98, 53.71 degrees
Atoms (fractional coordinates):
Tl  0.0000  0.0000  0.0000
Sn  0.1877  0.5076  0.4924
Sn  0.5076  0.1877  0.8123
Sn  0.6762  0.6762  0.3238
Pd  0.1013  0.1013  0.3987
Pd  0.6013  0.6013  0.8987

Main lines, in order of rising 2θ (2θ from 10° to 90°):
2θ/deg	I/Imax
33.3	92
33.9	100
36.2	39
36.5	24
41.2	62
42.1	36
43.0	36
56.9	23
64.1	26
66.5	22

***

Record 5
Theoretical powder diffraction line list of Zr3SbN2 for Cu Kα (weighted mean of Kα1 and Kα2), from a DFT-relaxed cell (GGA-PBE, OQMD).
Kinematic intensities with the Lorentz-polarization factor, no thermal factor.

Atomic structure:
Cell lengths 3.3227, 3.3227, 19.5345 Å; angles 90.00, 90.00, 120.00 degrees
Atoms (fractional coordinates):
Zr  0.0000  0.0000  0.0000
Zr  0.0000  0.0000  0.5000
Zr  0.3333  0.6667  0.1313
Zr  0.3333  0.6667  0.3687
Zr  0.6667  0.3333  0.6313
Zr  0.6667  0.3333  0.8687
Sb  0.0000  0.0000  0.2500
Sb  0.0000  0.0000  0.7500
N  0.3333  0.6667  0.5669
N  0.3333  0.6667  0.9331
N  0.6667  0.3333  0.0669
N  0.6667  0.3333  0.4331

Main lines, in order of rising 2θ (2θ from 10° to 90°):
2θ/deg	I/Imax
31.1	9
31.4	18
36.2	100
36.8	22
38.9	21
52.8	9
55.3	27
65.9	15
67.9	15
68.3	22

***

Record 6
Theoretical powder diffraction line list of Dy2SiSnOs for Cu Kα (weighted mean of Kα1 and Kα2), from a DFT-relaxed cell (GGA-PBE, OQMD).
Kinematic intensities with the Lorentz-polarization factor, no thermal factor.

Atomic structure:
Cell lengths 5.8841, 5.8841, 10.5717 Å; angles 116.33, 116.33, 42.76 degrees
Atoms (fractional coordinates):
Dy  0.0060  0.0060  0.1610
Dy  0.1890  0.1890  0.6304
Dy  0.8110  0.8110  0.3696
Dy  0.9940  0.9940  0.8390
Si  0.3518  0.3518  0.9417
Si  0.6482  0.6482  0.0583
Sn  0.4768  0.4768  0.6268
Sn  0.5232  0.5232  0.3732
Os  0.2639  0.2639  0.1187
Os  0.7361  0.7361  0.8813

Main lines, in order of rising 2θ (2θ from 10° to 90°):
2θ/deg	I/Imax
26.8	53
32.6	96
32.7	36
35.9	100
37.3	30
38.7	49
39.8	51
42.1	53
58.6	30
63.3	31

***

Record 7
Theoretical powder diffraction line list of Pr2Co12P7 for Cu Kα (weighted mean of Kα1 and Kα2), from a DFT-relaxed cell (GGA-PBE, OQMD).
Kinematic intensities with the Lorentz-polarization factor, no thermal factor.

Atomic structure:
Cell lengths 9.0796, 9.0796, 3.6391 Å; angles 90.00, 90.00, 120.00 degrees
Atoms (fractional coordinates):
Pr  0.0000  0.0000  0.0000
Pr  0.3333  0.6667  0.5000
Co  0.0478  0.7642  0.5000
Co  0.0972  0.3918  0.0000
Co  0.2358  0.2836  0.5000
Co  0.2946  0.9028  0.0000
Co  0.3963  0.2141  0.0000
Co  0.5414  0.1084  0.5000
Co  0.5670  0.4586  0.5000
Co  0.6082  0.7054  0.0000
Co  0.7164  0.9522  0.5000
Co  0.7859  0.1822  0.0000
Co  0.8178  0.6037  0.0000
Co  0.8916  0.4330  0.5000
P  0.0689  0.6289  0.0000
P  0.2705  0.0416  0.5000
P  0.3711  0.4400  0.0000
P  0.5600  0.9311  0.0000
P  0.6667  0.3333  0.0000
P  0.7711  0.7295  0.5000
P  0.9584  0.2289  0.5000

Main lines, in order of rising 2θ (2θ from 10° to 90°):
2θ/deg	I/Imax
27.0	10
30.1	10
34.2	10
39.1	100
48.7	9
50.1	18
53.4	15
57.0	10
76.3	10
86.7	11